# 1
Structure and computed XRD peak list of K8NbAs5Pb (a DFT-relaxed cell (PBE, Alexandria); Cu Kα (λ = 1.5418 Å)).

Atomic structure:
a = 32.0247 Å, b = 9.4510 Å, c = 13.6219 Å
α = 90.00°, β = 95.23°, γ = 90.00°
Space group C2/c (No. 15)
Unique sites:
K: 0.0201 0.1191 0.3935 x8
K: 0.0406 0.4746 0.1181 x8
K: 0.0638 0.1698 0.7111 x8
K: 0.1146 0.4578 0.8981 x8
K: 0.1493 0.1716 0.4580 x8
K: 0.1772 0.0359 0.7158 x8
K: 0.2239 0.3419 0.8321 x8
K: 0.2332 0.4545 0.5554 x8
Nb: 0.1568 0.3418 0.1829 x8
As: 0.0282 0.2573 0.9222 x8
As: 0.0933 0.2086 0.2379 x8
As: 0.1413 0.4014 0.6509 x8
As: 0.1763 0.2086 0.0287 x8
As: 0.2152 0.3154 0.3150 x8
Pb: 0.0906 0.1158 0.0368 x8

Most intense lines, 10 to 90 degrees two-theta, low angle first:
hkl 4 0 0, 2θ 11.1, I = 26; hkl 1 1 1, 2θ 11.9, I = 38; hkl 2 0 -2, 2θ 13.8, I = 100; hkl 6 2 2, 2θ 29.2, I = 25; hkl 8 2 -1, 2θ 29.6, I = 28; hkl 3 1 4, 2θ 29.9, I = 19; hkl 8 0 -4, 2θ 33.1, I = 25; hkl 9 1 3, 2θ 34.9, I = 19

---

# 2
Structure and computed XRD peak list of K3Nb2AsSe11 (a DFT-relaxed cell (PBE, Alexandria); Cu Kα (λ = 1.5418 Å)).

Atomic structure:
a = 15.2597 Å, b = 13.4354 Å, c = 10.0437 Å
α = 90.00°, β = 99.21°, γ = 90.00°
Space group Cc (No. 9)
Unique sites:
K: 0.0000 0.0697 0.0000 x4
K: 0.2539 0.4266 0.8425 x4
K: 0.3803 0.0830 0.7447 x4
Nb: 0.1135 0.2038 0.4151 x4
Nb: 0.2986 0.2744 0.2317 x4
As: 0.0348 0.3412 0.6855 x4
Se: 0.1014 0.1797 0.6739 x4
Se: 0.1046 0.3976 0.4920 x4
Se: 0.1300 0.3381 0.2114 x4
Se: 0.1705 0.2499 0.0222 x4
Se: 0.1928 0.0977 0.2508 x4
Se: 0.1991 0.0376 0.4756 x4
Se: 0.2892 0.2970 0.4903 x4
Se: 0.3682 0.4229 0.1719 x4
Se: 0.3812 0.1551 0.0775 x4
Se: 0.4071 0.1944 0.4288 x4
Se: 0.4623 0.3308 0.8305 x4

Most intense lines, 10 to 90 degrees two-theta, low angle first:
hkl 0 2 0, 2θ 13.2, I = 100; hkl 3 3 -1, 2θ 27.2, I = 15; hkl 4 2 1, 2θ 29.8, I = 17; hkl 2 4 -1, 2θ 29.9, I = 35; hkl 0 2 3, 2θ 30.1, I = 14; hkl 5 1 1, 2θ 33.1, I = 15; hkl 0 0 4, 2θ 36.3, I = 13; hkl 2 6 2, 2θ 46.9, I = 12